# 1
This entry pairs a crystal structure of MgBi with its theoretical powder diffractogram. Radiation: Cu Kα, 1.54184 Å. Structure: a cell relaxed with GGA-PBE.

Structural model:
Cell: 12.884 3.368 7.836 Å, 90.00 102.64 90.00°
Space group Cm (No. 8)
Inequivalent atoms, fractional coordinates:
1 Mg 0.000 0.000 0.000 x2
2 Mg 0.054 0.000 0.622 x2
3 Mg 0.341 0.000 0.673 x2
4 Bi 0.167 0.500 0.349 x2
5 Bi 0.212 0.500 0.908 x2
6 Bi 0.409 0.000 0.304 x2

Most intense lines, 10 to 80 degrees two-theta, in order of rising 2θ:
- 2θ = 11.6°, I 55
- 2θ = 23.3°, I 65
- 2θ = 27.4°, I 52
- 2θ = 32.7°, I 56
- 2θ = 34.2°, I 72
- 2θ = 35.2°, I 100

***

# 2
This entry pairs a crystal structure of MgBi with its theoretical powder diffractogram. Radiation: Cu Kα, 1.54184 Å. Structure: a cell relaxed with GGA-PBE.

Structural model:
Cell: 5.396 10.321 6.069 Å, 90.00 90.00 90.00°
Space group Amm2 (No. 38)
Inequivalent atoms, fractional coordinates:
1 Mg 0.000 0.000 0.000 x2
2 Mg 0.500 0.192 0.813 x4
3 Bi 0.000 0.157 0.553 x4
4 Bi 0.500 0.000 0.203 x2

Most intense lines, 10 to 80 degrees two-theta, in order of rising 2θ:
- 2θ = 23.7°, I 100
- 2θ = 29.9°, I 75
- 2θ = 33.2°, I 41
- 2θ = 33.9°, I 54
- 2θ = 34.3°, I 55
- 2θ = 45.3°, I 50

***

# 3
This entry pairs a crystal structure of MgBi with its theoretical powder diffractogram. Radiation: Cu Kα, 1.54184 Å. Structure: a cell relaxed with GGA-PBE.

Structural model:
Cell: 3.7656 3.7656 4.5802 Å, 90.00 90.00 120.00°
Space group P-6m2 (No. 187)
Inequivalent atoms, fractional coordinates:
1 Mg 0.0000 0.0000 0.0000 x1
2 Bi 0.3333 0.6667 0.5000 x1

Most intense lines, 10 to 80 degrees two-theta, in order of rising 2θ:
- 2θ = 19.4°, I 42
- 2θ = 27.3°, I 66
- 2θ = 33.7°, I 100
- 2θ = 48.3°, I 21
- 2θ = 48.6°, I 29
- 2θ = 52.6°, I 20